Sr3Fe2O7: calculated powder XRD pattern (Cu Kα), based on a structure optimized by DFT (PBE+U).
Neutral-atom scattering factors, no anomalous dispersion.

Peak list (10 most intense, 2θ = 10–90°, in order of falling intensity)
hkl 1 0 5, 31.74°, rel. 100
hkl 1 1 0, 32.40°, rel. 67
hkl 2 0 0, 46.46°, rel. 47
hkl 2 1 5, 57.38°, rel. 37
hkl 1 1 6, 42.18°, rel. 23
hkl 2 0 10, 66.32°, rel. 17
hkl 0 0 10, 44.53°, rel. 16
hkl 2 2 0, 67.82°, rel. 15
hkl 1 1 10, 56.13°, rel. 15
hkl 3 1 0, 77.19°, rel. 10

Atomic structure:
```
data_Sr3Fe2O7
_chemical_formula_sum 'Sr6 Fe4 O14'
_symmetry_space_group_name_H-M 'I 4/m m m'
_symmetry_Int_Tables_number 139
_symmetry_space_group_name_Hall '-I 4 2'
_cell_length_a 3.9081
_cell_length_b 3.9081
_cell_length_c 20.3488
_cell_angle_alpha 90.00
_cell_angle_beta 90.00
_cell_angle_gamma 90.00
loop_
_atom_site_label
_atom_site_fract_x
_atom_site_fract_y
_atom_site_fract_z
Sr1 0.0000 0.0000 0.0000
Sr2 0.0000 0.0000 0.1830
Fe1 0.0000 0.0000 0.4027
O1 0.0000 0.0000 0.3062
O2 0.0000 0.0000 0.5000
O3 0.0000 0.5000 0.0956
```